No. 1
Starting from DFT lattice parameters and positions (PBE), the X-ray diffraction stick pattern of Hf2N2O was computed for Cu Kα, 1.54184 Å.
Neutral-atom scattering factors, no anomalous dispersion.

Most intense lines, 10° ≤ 2θ ≤ 90°, low angle first:
| d (Å) | Rel. int. |
| --- | --- |
| 4.117 | 13 |
| 2.913 | 100 |
| 2.903 | 32 |
| 2.520 | 50 |
| 1.979 | 7 |
| 1.784 | 23 |
| 1.780 | 15 |
| 1.778 | 7 |
| 1.522 | 16 |
| 1.519 | 19 |

```
data_Hf2N2O
_symmetry_space_group_name_H-M 'P 1'
_symmetry_Int_Tables_number 1
_cell_length_a 8.708
_cell_length_b 8.730
_cell_length_c 8.737
_cell_angle_alpha 109.58
_cell_angle_beta 109.33
_cell_angle_gamma 109.35
loop_
_symmetry_equiv_pos_as_xyz
'x,y,z'
loop_
_atom_site_label
_atom_site_type_symbol
_atom_site_fract_x
_atom_site_fract_y
_atom_site_fract_z
Hf1 Hf 0.000 0.000 0.000
Hf2 Hf 0.000 0.491 0.492
Hf3 Hf 0.037 0.743 0.216
Hf4 Hf 0.218 0.959 0.668
Hf5 Hf 0.247 0.195 0.462
Hf6 Hf 0.262 0.709 0.971
Hf7 Hf 0.296 0.468 0.246
Hf8 Hf 0.478 0.683 0.716
Hf9 Hf 0.505 0.432 0.933
Hf10 Hf 0.507 0.925 0.425
Hf11 Hf 0.548 0.243 0.211
Hf12 Hf 0.719 0.961 0.176
Hf13 Hf 0.748 0.714 0.452
Hf14 Hf 0.767 0.215 0.960
Hf15 Hf 0.791 0.453 0.749
Hf16 Hf 0.970 0.183 0.710
N1 N 0.026 0.443 0.721
N2 N 0.030 0.252 0.995
N3 N 0.224 0.220 0.701
N4 N 0.239 0.662 0.183
N5 N 0.302 0.985 0.476
N6 N 0.477 0.984 0.195
N7 N 0.491 0.674 0.968
N8 N 0.517 0.479 0.188
N9 N 0.527 0.719 0.505
N10 N 0.708 0.179 0.688
N11 N 0.722 0.938 0.914
N12 N 0.770 0.949 0.428
N13 N 0.784 0.484 0.001
N14 N 0.801 0.250 0.235
N15 N 0.984 0.699 0.422
N16 N 0.988 0.975 0.234
O1 O 0.018 0.749 0.946
O2 O 0.211 0.439 0.454
O3 O 0.275 0.760 0.733
O4 O 0.294 0.206 0.231
O5 O 0.477 0.155 0.927
O6 O 0.528 0.451 0.678
O7 O 0.739 0.469 0.496
O8 O 0.993 0.932 0.736
```


No. 2
Starting from DFT lattice parameters and positions (PBE), the X-ray diffraction stick pattern of Hf2N2O was computed for Cu Kα, 1.54184 Å.
Neutral-atom scattering factors, no anomalous dispersion.

Most intense lines, 10° ≤ 2θ ≤ 90°, low angle first:
| d (Å) | Rel. int. |
| --- | --- |
| 4.115 | 11 |
| 2.910 | 100 |
| 2.520 | 37 |
| 2.376 | 6 |
| 1.978 | 5 |
| 1.976 | 4 |
| 1.784 | 12 |
| 1.781 | 22 |
| 1.521 | 12 |
| 1.519 | 17 |

```
data_Hf2N2O
_symmetry_space_group_name_H-M 'P 1'
_symmetry_Int_Tables_number 1
_cell_length_a 8.721
_cell_length_b 8.726
_cell_length_c 8.732
_cell_angle_alpha 109.40
_cell_angle_beta 109.42
_cell_angle_gamma 109.50
loop_
_symmetry_equiv_pos_as_xyz
'x,y,z'
loop_
_atom_site_label
_atom_site_type_symbol
_atom_site_fract_x
_atom_site_fract_y
_atom_site_fract_z
Hf1 Hf 0.000 0.000 0.000
Hf2 Hf 0.004 0.506 0.498
Hf3 Hf 0.040 0.284 0.827
Hf4 Hf 0.215 0.250 0.535
Hf5 Hf 0.234 0.528 0.280
Hf6 Hf 0.252 0.034 0.774
Hf7 Hf 0.278 0.815 0.037
Hf8 Hf 0.458 0.784 0.750
Hf9 Hf 0.492 0.566 0.070
Hf10 Hf 0.505 0.070 0.571
Hf11 Hf 0.546 0.281 0.320
Hf12 Hf 0.728 0.754 0.536
Hf13 Hf 0.753 0.035 0.285
Hf14 Hf 0.764 0.534 0.786
Hf15 Hf 0.787 0.317 0.033
Hf16 Hf 0.970 0.794 0.255
N1 N 0.013 0.264 0.058
N2 N 0.020 0.763 0.020
N3 N 0.023 0.582 0.296
N4 N 0.208 0.763 0.758
N5 N 0.221 0.990 0.511
N6 N 0.248 0.574 0.053
N7 N 0.265 0.501 0.523
N8 N 0.300 0.309 0.819
N9 N 0.511 0.022 0.318
N10 N 0.525 0.065 0.828
N11 N 0.739 0.260 0.240
N12 N 0.756 0.801 0.325
N13 N 0.788 0.301 0.770
N14 N 0.792 0.546 0.557
N15 N 0.979 0.998 0.742
N16 N 0.989 0.050 0.252
O1 O 0.286 0.090 0.065
O2 O 0.474 0.482 0.269
O3 O 0.480 0.308 0.550
O4 O 0.497 0.807 0.516
O5 O 0.531 0.795 0.010
O6 O 0.703 0.523 0.007
O7 O 0.713 0.774 0.800
O8 O 0.977 0.268 0.556
```


No. 3
Starting from DFT lattice parameters and positions (PBE), the X-ray diffraction stick pattern of Hf2N2O was computed for Cu Kα, 1.54184 Å.
Neutral-atom scattering factors, no anomalous dispersion.

Most intense lines, 10° ≤ 2θ ≤ 90°, low angle first:
| d (Å) | Rel. int. |
| --- | --- |
| 4.115 | 15 |
| 2.912 | 100 |
| 2.905 | 32 |
| 2.520 | 49 |
| 1.976 | 9 |
| 1.787 | 7 |
| 1.782 | 30 |
| 1.780 | 7 |
| 1.522 | 12 |
| 1.519 | 22 |

```
data_Hf2N2O
_symmetry_space_group_name_H-M 'P 1'
_symmetry_Int_Tables_number 1
_cell_length_a 8.715
_cell_length_b 8.723
_cell_length_c 8.737
_cell_angle_alpha 109.39
_cell_angle_beta 109.41
_cell_angle_gamma 109.46
loop_
_symmetry_equiv_pos_as_xyz
'x,y,z'
loop_
_atom_site_label
_atom_site_type_symbol
_atom_site_fract_x
_atom_site_fract_y
_atom_site_fract_z
Hf1 Hf 0.000 0.000 0.000
Hf2 Hf 0.009 0.501 0.512
Hf3 Hf 0.036 0.321 0.787
Hf4 Hf 0.208 0.026 0.749
Hf5 Hf 0.237 0.777 0.026
Hf6 Hf 0.248 0.286 0.537
Hf7 Hf 0.295 0.541 0.324
Hf8 Hf 0.466 0.255 0.287
Hf9 Hf 0.487 0.073 0.569
Hf10 Hf 0.503 0.577 0.078
Hf11 Hf 0.532 0.825 0.796
Hf12 Hf 0.719 0.030 0.248
Hf13 Hf 0.740 0.278 0.029
Hf14 Hf 0.761 0.788 0.532
Hf15 Hf 0.782 0.537 0.824
Hf16 Hf 0.960 0.748 0.282
N1 N 0.007 0.557 0.764
N2 N 0.018 0.798 0.080
N3 N 0.214 0.014 0.489
N4 N 0.234 0.545 0.072
N5 N 0.268 0.032 0.010
N6 N 0.285 0.559 0.578
N7 N 0.476 0.775 0.992
N8 N 0.480 0.048 0.807
N9 N 0.522 0.331 0.570
N10 N 0.523 0.514 0.305
N11 N 0.699 0.505 0.022
N12 N 0.760 0.829 0.309
N13 N 0.801 0.064 0.053
N14 N 0.973 0.058 0.773
N15 N 0.977 0.240 0.503
N16 N 0.987 0.748 0.547
O1 O 0.018 0.517 0.262
O2 O 0.203 0.252 0.265
O3 O 0.294 0.322 0.807
O4 O 0.497 0.016 0.316
O5 O 0.510 0.823 0.520
O6 O 0.713 0.295 0.272
O7 O 0.734 0.741 0.763
O8 O 0.786 0.278 0.803
```


No. 4
Starting from DFT lattice parameters and positions (PBE), the X-ray diffraction stick pattern of Hf2N2O was computed for Cu Kα, 1.54184 Å.
Neutral-atom scattering factors, no anomalous dispersion.

Most intense lines, 10° ≤ 2θ ≤ 90°, low angle first:
| d (Å) | Rel. int. |
| --- | --- |
| 2.892 | 100 |
| 2.745 | 32 |
| 2.730 | 65 |
| 1.993 | 25 |
| 1.976 | 12 |
| 1.822 | 20 |
| 1.611 | 12 |
| 1.608 | 13 |
| 1.604 | 12 |
| 1.582 | 17 |

```
data_Hf2N2O
_symmetry_space_group_name_H-M 'P 1 2/c 1'
_symmetry_Int_Tables_number 13
_cell_length_a 5.815
_cell_length_b 5.490
_cell_length_c 7.931
_cell_angle_alpha 90.00
_cell_angle_beta 94.70
_cell_angle_gamma 90.00
loop_
_symmetry_equiv_pos_as_xyz
'x,y,z'
'-x,-y,-z'
'-x,y,-z+1/2'
'x,-y,z+1/2'
loop_
_atom_site_label
_atom_site_type_symbol
_atom_site_fract_x
_atom_site_fract_y
_atom_site_fract_z
Hf1 Hf 0.211 0.012 0.146
Hf2 Hf 0.279 0.500 0.357
N1 N 0.000 0.308 0.250
N2 N 0.152 0.152 0.900
N3 N 0.500 0.216 0.250
O1 O 0.351 0.347 0.601
```


No. 5
Starting from DFT lattice parameters and positions (PBE), the X-ray diffraction stick pattern of Hf2N2O was computed for Cu Kα, 1.54184 Å.
Neutral-atom scattering factors, no anomalous dispersion.

Most intense lines, 10° ≤ 2θ ≤ 90°, low angle first:
| d (Å) | Rel. int. |
| --- | --- |
| 5.249 | 26 |
| 3.214 | 16 |
| 2.741 | 100 |
| 2.624 | 39 |
| 2.271 | 12 |
| 1.751 | 18 |
| 1.748 | 20 |
| 1.607 | 40 |
| 1.386 | 13 |
| 1.183 | 13 |

```
data_Hf2N2O
_symmetry_space_group_name_H-M 'I 41/a m d'
_symmetry_Int_Tables_number 141
_cell_length_a 6.422
_cell_length_b 6.422
_cell_length_c 27.329
_cell_angle_alpha 90.00
_cell_angle_beta 90.00
_cell_angle_gamma 90.00
loop_
_symmetry_equiv_pos_as_xyz
'x,y,z'
'-x,-y,-z'
'-y+1/4,x+3/4,z+1/4'
'y+1/4,-x+3/4,-z+1/4'
'-x+1/2,-y,z+1/2'
'x+1/2,y,-z+1/2'
'y+1/4,-x+1/4,z+3/4'
'-y+1/4,x+1/4,-z+3/4'
'x,-y,-z'
'-x,y,z'
'-y+1/4,-x+1/4,-z+3/4'
'y+1/4,x+1/4,z+3/4'
'-x+1/2,y,-z+1/2'
'x+1/2,-y,z+1/2'
'y+1/4,x+3/4,-z+1/4'
'-y+1/4,-x+3/4,z+1/4'
'x+1/2,y+1/2,z+1/2'
'-x+1/2,-y+1/2,-z+1/2'
'-y+3/4,x+1/4,z+3/4'
'y+3/4,-x+1/4,-z+3/4'
'-x,-y+1/2,z'
'x,y+1/2,-z'
'y+3/4,-x+3/4,z+1/4'
'-y+3/4,x+3/4,-z+1/4'
'x+1/2,-y+1/2,-z+1/2'
'-x+1/2,y+1/2,z+1/2'
'-y+3/4,-x+3/4,-z+1/4'
'y+3/4,x+3/4,z+1/4'
'-x,y+1/2,-z'
'x,-y+1/2,z'
'y+3/4,x+1/4,-z+3/4'
'-y+3/4,-x+1/4,z+3/4'
loop_
_atom_site_label
_atom_site_type_symbol
_atom_site_fract_x
_atom_site_fract_y
_atom_site_fract_z
Hf1 Hf 0.000 0.000 0.000
Hf2 Hf 0.000 0.001 0.333
Hf3 Hf 0.000 0.250 0.207
N1 N 0.000 0.013 0.749
N2 N 0.000 0.016 0.413
O1 O 0.000 0.042 0.076
```


No. 6
Starting from DFT lattice parameters and positions (PBE), the X-ray diffraction stick pattern of Hf5N5O2 was computed for Cu Kα, 1.54184 Å.
Neutral-atom scattering factors, no anomalous dispersion.

Most intense lines, 10° ≤ 2θ ≤ 90°, low angle first:
| d (Å) | Rel. int. |
| --- | --- |
| 2.934 | 32 |
| 2.930 | 100 |
| 2.903 | 98 |
| 2.719 | 53 |
| 2.590 | 62 |
| 2.538 | 26 |
| 2.288 | 26 |
| 2.177 | 42 |
| 2.093 | 26 |
| 1.698 | 26 |

```
data_Hf5N5O2
_symmetry_space_group_name_H-M 'C 1 m 1'
_symmetry_Int_Tables_number 8
_cell_length_a 10.360
_cell_length_b 3.069
_cell_length_c 9.170
_cell_angle_alpha 90.00
_cell_angle_beta 105.82
_cell_angle_gamma 90.00
loop_
_symmetry_equiv_pos_as_xyz
'x,y,z'
'x,-y,z'
'x+1/2,y+1/2,z'
'x+1/2,-y+1/2,z'
loop_
_atom_site_label
_atom_site_type_symbol
_atom_site_fract_x
_atom_site_fract_y
_atom_site_fract_z
Hf1 Hf 0.000 0.000 0.000
Hf2 Hf 0.081 0.500 0.379
Hf3 Hf 0.189 0.000 0.782
Hf4 Hf 0.278 0.500 0.161
Hf5 Hf 0.398 0.500 0.575
N1 N 0.050 0.500 0.634
N2 N 0.122 0.500 0.929
N3 N 0.147 0.000 0.225
N4 N 0.379 0.000 0.067
N5 N 0.433 0.500 0.365
O1 O 0.234 0.000 0.530
O2 O 0.342 0.500 0.787
```


No. 7
Starting from DFT lattice parameters and positions (PBE), the X-ray diffraction stick pattern of Hf2N2O was computed for Cu Kα, 1.54184 Å.
Neutral-atom scattering factors, no anomalous dispersion.

Most intense lines, 10° ≤ 2θ ≤ 90°, low angle first:
| d (Å) | Rel. int. |
| --- | --- |
| 4.119 | 10 |
| 2.912 | 100 |
| 2.904 | 33 |
| 2.522 | 32 |
| 2.515 | 18 |
| 1.786 | 15 |
| 1.780 | 29 |
| 1.522 | 9 |
| 1.519 | 19 |
| 1.516 | 7 |

```
data_Hf2N2O
_symmetry_space_group_name_H-M 'P 1'
_symmetry_Int_Tables_number 1
_cell_length_a 8.711
_cell_length_b 8.725
_cell_length_c 8.730
_cell_angle_alpha 109.27
_cell_angle_beta 109.56
_cell_angle_gamma 109.38
loop_
_symmetry_equiv_pos_as_xyz
'x,y,z'
loop_
_atom_site_label
_atom_site_type_symbol
_atom_site_fract_x
_atom_site_fract_y
_atom_site_fract_z
Hf1 Hf 0.000 0.000 0.000
Hf2 Hf 0.001 0.492 0.501
Hf3 Hf 0.034 0.743 0.273
Hf4 Hf 0.211 0.455 0.238
Hf5 Hf 0.241 0.280 0.518
Hf6 Hf 0.247 0.773 0.029
Hf7 Hf 0.280 0.023 0.733
Hf8 Hf 0.470 0.240 0.215
Hf9 Hf 0.495 0.499 0.987
Hf10 Hf 0.502 0.980 0.482
Hf11 Hf 0.529 0.748 0.776
Hf12 Hf 0.713 0.954 0.240
Hf13 Hf 0.748 0.198 0.953
Hf14 Hf 0.758 0.709 0.450
Hf15 Hf 0.792 0.530 0.742
Hf16 Hf 0.971 0.239 0.703
N1 N 0.006 0.232 0.956
N2 N 0.037 0.768 0.536
N3 N 0.041 0.522 0.762
N4 N 0.231 0.251 0.760
N5 N 0.241 0.215 0.261
N6 N 0.272 0.536 0.522
N7 N 0.273 0.717 0.254
N8 N 0.449 0.713 0.972
N9 N 0.489 0.953 0.719
N10 N 0.507 0.034 0.261
N11 N 0.724 0.451 0.457
N12 N 0.738 0.955 0.506
N13 N 0.766 0.721 0.213
N14 N 0.773 0.003 0.034
N15 N 0.964 0.218 0.439
N16 N 0.988 0.756 0.023
O1 O 0.228 0.983 0.941
O2 O 0.259 0.025 0.474
O3 O 0.458 0.498 0.218
O4 O 0.540 0.482 0.757
O5 O 0.549 0.267 0.010
O6 O 0.718 0.267 0.725
O7 O 0.757 0.761 0.717
O8 O 0.948 0.457 0.213
```


No. 8
Starting from DFT lattice parameters and positions (PBE), the X-ray diffraction stick pattern of Hf2N2O was computed for Cu Kα, 1.54184 Å.
Neutral-atom scattering factors, no anomalous dispersion.

Most intense lines, 10° ≤ 2θ ≤ 90°, low angle first:
| d (Å) | Rel. int. |
| --- | --- |
| 4.123 | 9 |
| 2.923 | 34 |
| 2.908 | 100 |
| 2.522 | 50 |
| 1.787 | 15 |
| 1.785 | 7 |
| 1.780 | 22 |
| 1.524 | 10 |
| 1.521 | 16 |
| 1.518 | 12 |

```
data_Hf2N2O
_symmetry_space_group_name_H-M 'P 1'
_symmetry_Int_Tables_number 1
_cell_length_a 8.717
_cell_length_b 8.727
_cell_length_c 8.732
_cell_angle_alpha 109.37
_cell_angle_beta 109.32
_cell_angle_gamma 109.42
loop_
_symmetry_equiv_pos_as_xyz
'x,y,z'
loop_
_atom_site_label
_atom_site_type_symbol
_atom_site_fract_x
_atom_site_fract_y
_atom_site_fract_z
Hf1 Hf 0.000 0.000 0.000
Hf2 Hf 0.000 0.497 0.497
Hf3 Hf 0.046 0.246 0.712
Hf4 Hf 0.218 0.457 0.168
Hf5 Hf 0.238 0.205 0.452
Hf6 Hf 0.267 0.719 0.985
Hf7 Hf 0.285 0.964 0.739
Hf8 Hf 0.476 0.187 0.223
Hf9 Hf 0.507 0.928 0.431
Hf10 Hf 0.509 0.431 0.931
Hf11 Hf 0.550 0.761 0.725
Hf12 Hf 0.725 0.473 0.684
Hf13 Hf 0.757 0.209 0.954
Hf14 Hf 0.765 0.719 0.465
Hf15 Hf 0.788 0.964 0.253
Hf16 Hf 0.966 0.682 0.211
N1 N 0.020 0.254 0.457
N2 N 0.030 0.943 0.227
N3 N 0.031 0.757 0.499
N4 N 0.222 0.722 0.205
N5 N 0.249 0.171 0.694
N6 N 0.274 0.264 0.241
N7 N 0.302 0.490 0.974
N8 N 0.514 0.986 0.692
N9 N 0.525 0.957 0.193
N10 N 0.707 0.678 0.193
N11 N 0.724 0.437 0.419
N12 N 0.742 0.977 0.999
N13 N 0.765 0.450 0.927
N14 N 0.789 0.987 0.514
N15 N 0.800 0.747 0.739
N16 N 0.983 0.208 0.922
O1 O 0.210 0.941 0.946
O2 O 0.291 0.699 0.728
O3 O 0.483 0.489 0.703
O4 O 0.483 0.670 0.433
O5 O 0.497 0.183 0.482
O6 O 0.527 0.228 0.014
O7 O 0.986 0.485 0.739
O8 O 0.990 0.438 0.237
```


What did the sixth record say?
Starting from DFT lattice parameters and positions (PBE), the X-ray diffraction stick pattern of Hf5N5O2 was computed for Cu Kα, 1.54184 Å.
Neutral-atom scattering factors, no anomalous dispersion.

Most intense lines, 10° ≤ 2θ ≤ 90°, low angle first:
| d (Å) | Rel. int. |
| --- | --- |
| 2.934 | 32 |
| 2.930 | 100 |
| 2.903 | 98 |
| 2.719 | 53 |
| 2.590 | 62 |
| 2.538 | 26 |
| 2.288 | 26 |
| 2.177 | 42 |
| 2.093 | 26 |
| 1.698 | 26 |

```
data_Hf5N5O2
_symmetry_space_group_name_H-M 'C 1 m 1'
_symmetry_Int_Tables_number 8
_cell_length_a 10.360
_cell_length_b 3.069
_cell_length_c 9.170
_cell_angle_alpha 90.00
_cell_angle_beta 105.82
_cell_angle_gamma 90.00
loop_
_symmetry_equiv_pos_as_xyz
'x,y,z'
'x,-y,z'
'x+1/2,y+1/2,z'
'x+1/2,-y+1/2,z'
loop_
_atom_site_label
_atom_site_type_symbol
_atom_site_fract_x
_atom_site_fract_y
_atom_site_fract_z
Hf1 Hf 0.000 0.000 0.000
Hf2 Hf 0.081 0.500 0.379
Hf3 Hf 0.189 0.000 0.782
Hf4 Hf 0.278 0.500 0.161
Hf5 Hf 0.398 0.500 0.575
N1 N 0.050 0.500 0.634
N2 N 0.122 0.500 0.929
N3 N 0.147 0.000 0.225
N4 N 0.379 0.000 0.067
N5 N 0.433 0.500 0.365
O1 O 0.234 0.000 0.530
O2 O 0.342 0.500 0.787
```